For GaWBr2F, a crystal structure in Alexandria, relaxed with PBE+U gives the simulated powder X-ray diffraction pattern in this record (Cu Kα X-rays).

Largest 6 diffraction maxima, by angle, 5° ≤ 2θ ≤ 70°:
2θ = 15.16°, I = 27.5; 2θ = 30.60°, I = 61.6; 2θ = 30.76°, I = 100.0; 2θ = 43.82°, I = 22.6; 2θ = 54.49°, I = 39.9; 2θ = 54.79°, I = 23.2

Cell and atoms:
a b c (Å): 5.8429 5.8429 4.0906
angles (deg): 90.00 90.00 90.00
Space group P4/mmm (No. 123)
Inequivalent atoms, fractional coordinates:
Ga 0.0000 0.0000 0.0000 [1 per cell]
W 0.5000 0.5000 0.0000 [1 per cell]
Br 0.0000 0.5000 0.5000 [2 per cell]
F 0.5000 0.5000 0.5000 [1 per cell]